# 1
AgPdN: theoretical X-ray diffraction stick pattern (a wavelength of 1.5418 Å), based on a structure optimized by DFT (PBE).
Intensities are scaled so that the largest is 100.

The 10 most intense peaks (2θ from 10° to 90°), in order of falling intensity:
2.345 Å, 38.38 deg, I = 100, (3 1 -1); 2.392 Å, 37.60 deg, I = 68, (6 0 0); 4.772 Å, 18.59 deg, I = 62, (0 0 1); 2.084 Å, 43.43 deg, I = 60, (3 1 1); 2.482 Å, 36.18 deg, I = 55, (3 1 0); 7.177 Å, 12.33 deg, I = 47, (2 0 0); 2.386 Å, 37.70 deg, I = 41, (0 0 2); 4.605 Å, 19.27 deg, I = 36, (2 0 -1); 2.507 Å, 35.82 deg, I = 29, (1 1 -1); 1.987 Å, 45.66 deg, I = 24, (6 0 -2)

Atomic structure:
```
data_AgPdN
_cell_length_a 14.938
_cell_length_b 2.905
_cell_length_c 4.966
_cell_angle_alpha 90.00
_cell_angle_beta 106.08
_cell_angle_gamma 90.00
_symmetry_space_group_name_H-M 'C 1 m 1'
_symmetry_Int_Tables_number 8
_symmetry_space_group_name_Hall 'C -2y'
loop_
_atom_site_label
_atom_site_fract_x
_atom_site_fract_y
_atom_site_fract_z
_atom_site_occupancy
Ag1 0.000 0.000 0.000 1
Ag2 0.149 0.500 0.864 1
Pd1 0.170 0.000 0.385 1
Pd2 0.328 0.000 0.886 1
N1 0.314 0.000 0.472 1
N2 0.353 0.000 0.299 1
```

***

# 2
Hf3TeSe: theoretical X-ray diffraction stick pattern (a wavelength of 1.5418 Å), based on a structure optimized by DFT (PBE).
Intensities are scaled so that the largest is 100.

The 10 most intense peaks (2θ from 10° to 90°), in order of falling intensity:
2.569 Å, 34.93 deg, I = 100, (2 0 2); 2.058 Å, 44.01 deg, I = 35, (4 4 1); 3.164 Å, 28.20 deg, I = 20, (4 0 0); 2.692 Å, 33.29 deg, I = 18, (2 0 -2); 6.328 Å, 14.00 deg, I = 18, (2 0 0); 2.109 Å, 42.87 deg, I = 18, (6 0 0); 2.198 Å, 41.07 deg, I = 17, (4 0 -2); 1.645 Å, 55.89 deg, I = 13, (0 4 3); 2.515 Å, 35.70 deg, I = 13, (2 4 1); 2.773 Å, 32.28 deg, I = 13, (0 4 1)

Atomic structure:
```
data_Hf3TeSe
_cell_length_a 12.677
_cell_length_b 12.645
_cell_length_c 5.789
_cell_angle_alpha 90.00
_cell_angle_beta 93.29
_cell_angle_gamma 90.00
_symmetry_space_group_name_H-M 'C 1 2/c 1'
_symmetry_Int_Tables_number 15
_symmetry_space_group_name_Hall '-C 2yc'
loop_
_atom_site_label
_atom_site_fract_x
_atom_site_fract_y
_atom_site_fract_z
_atom_site_occupancy
Hf1 0.147 0.066 0.124 1
Hf2 0.150 0.196 0.609 1
Hf3 0.164 0.330 0.057 1
Te1 0.161 0.426 0.555 1
Se1 0.000 0.070 0.750 1
Se2 0.000 0.225 0.250 1
```